Diffraction record for Hg5P. The XRD peak list is theoretical, not measured: it uses a crystal structure in OQMD, relaxed with GGA-PBE and λ = 1.5418 Å (Cu Kα).
Neutral-atom scattering factors, no anomalous dispersion.

Most intense lines, 2θ = 5–70°, by angle:
- 2θ = 13.21°, d = 6.705 Å, intensity 26.5
- 2θ = 25.55°, d = 3.486 Å, intensity 37.6
- 2θ = 28.79°, d = 3.101 Å, intensity 100.0
- 2θ = 30.54°, d = 2.927 Å, intensity 25.6
- 2θ = 32.18°, d = 2.781 Å, intensity 35.3
- 2θ = 34.37°, d = 2.609 Å, intensity 23.8
- 2θ = 35.61°, d = 2.521 Å, intensity 16.9
- 2θ = 39.87°, d = 2.261 Å, intensity 30.2
- 2θ = 43.06°, d = 2.100 Å, intensity 18.8
- 2θ = 63.38°, d = 1.468 Å, intensity 27.0

Cell and atoms:
```
Hg5P
1.0
4.201 -5.563 0.000
4.201 5.563 0.000
0.000 0.000 8.162
Hg P
10 2
Cartesian
4.201 4.191 4.418
4.201 4.191 7.825
1.889 1.075 6.122
1.889 -1.075 2.041
4.201 1.441 2.041
4.201 -1.441 6.122
6.513 1.075 6.122
6.513 -1.075 2.041
4.201 -4.191 0.337
4.201 -4.191 3.744
4.201 2.374 6.122
4.201 -2.374 2.041
```